# 1
Structure and calculated XRD peak list of Ba2Li3ZrF12 (a DFT-relaxed cell (PBE, Alexandria); Cu Kα).

```
Ba2Li3ZrF12
1.0
3.289 1.899 6.942
-3.289 1.899 6.942
0.000 -3.798 6.942
Ba Li Zr F
2 3 1 12
Direct
0.103 0.103 0.103
0.897 0.897 0.897
0.000 0.500 0.500
0.500 0.000 0.500
0.500 0.500 0.000
0.500 0.500 0.500
0.124 0.629 0.629
0.223 0.223 0.652
0.223 0.652 0.223
0.348 0.777 0.777
0.371 0.371 0.876
0.371 0.876 0.371
0.629 0.124 0.629
0.629 0.629 0.124
0.652 0.223 0.223
0.777 0.348 0.777
0.777 0.777 0.348
0.876 0.371 0.371
```

Largest 6 diffraction maxima, in order of rising 2θ, 2θ from 5° to 70°:
12.8°, I = 47.7; 17.7°, I = 82.3; 26.5°, I = 81.9; 27.1°, I = 70.6; 30.1°, I = 52.1; 38.3°, I = 100.0


# 2
Structure and calculated XRD peak list of BaLiZr2F11 (a DFT-relaxed cell (PBE, Alexandria); Cu Kα).

```
BaLiZr2F11
1.0
-4.178 4.178 5.704
4.178 -4.178 5.704
4.178 4.178 -5.704
Ba Li Zr F
2 2 4 22
Direct
0.191 0.191 0.000
0.809 0.809 0.000
0.250 0.750 0.500
0.750 0.250 0.500
0.217 0.636 0.853
0.364 0.217 0.581
0.636 0.783 0.419
0.783 0.364 0.147
0.000 0.500 0.500
0.053 0.491 0.218
0.124 0.185 0.309
0.164 0.947 0.438
0.185 0.876 0.061
0.190 0.322 0.722
0.274 0.836 0.782
0.322 0.600 0.131
0.400 0.532 0.722
0.468 0.190 0.869
0.491 0.274 0.438
0.500 0.000 0.500
0.509 0.726 0.562
0.532 0.810 0.131
0.600 0.468 0.278
0.678 0.400 0.869
0.726 0.164 0.218
0.810 0.678 0.278
0.815 0.124 0.939
0.836 0.053 0.562
0.876 0.815 0.691
0.947 0.509 0.782
```

Largest 6 diffraction maxima, in order of rising 2θ, 2θ from 5° to 70°:
21.7°, I = 32.1; 25.1°, I = 100.0; 25.7°, I = 31.2; 26.4°, I = 61.7; 37.5°, I = 36.2; 45.9°, I = 34.6


# 3
Structure and calculated XRD peak list of BaMg3F (a DFT-relaxed cell (PBE, Alexandria); Cu Kα).

```
BaMg3F
1.0
5.161 0.000 0.000
0.000 5.161 0.000
0.000 0.000 5.161
Ba Mg F
1 3 1
Direct
0.000 0.000 0.000
0.000 0.500 0.500
0.500 0.000 0.500
0.500 0.500 0.000
0.500 0.500 0.500
```

Largest 6 diffraction maxima, in order of rising 2θ, 2θ from 5° to 70°:
17.2°, I = 49.8; 24.4°, I = 100.0; 30.0°, I = 88.6; 34.8°, I = 65.6; 42.9°, I = 42.9; 50.0°, I = 44.9